# Li2VSi7O16
Simulated powder diffraction line list, Cu Kα. Input: the GGA+U geometry in the Materials Project.
Peak positions follow from Bragg's law for the DFT cell and can differ from measured ones.

Crystal structure
abc: 7.2821 7.6662 7.7507
angles: 116.08 104.55 102.36
Element x y z (fractional)
Li: 0.0000 0.0000 0.0000
Li: 0.3580 0.6795 0.6760
V: 0.4996 0.0190 0.0809
Si: 0.3441 0.2661 0.4334
Si: 0.3597 0.5629 0.0415
Si: 0.4863 0.1884 0.7863
Si: 0.7751 0.5722 0.6281
Si: 0.7961 0.8036 0.3988
Si: 0.9154 0.1968 0.3892
Si: 0.9234 0.5519 0.0257
O: 0.1414 0.5229 0.0744
O: 0.1592 0.3415 0.4872
O: 0.2857 0.1286 0.1879
O: 0.3719 0.3330 0.9108
O: 0.3774 0.6975 0.9332
O: 0.4113 0.1405 0.5459
O: 0.4393 0.9751 0.7855
O: 0.5279 0.5051 0.5636
O: 0.5487 0.6898 0.2768
O: 0.7353 0.3287 0.9015
O: 0.8033 0.3660 0.4674
O: 0.8175 0.0574 0.1400
O: 0.8605 0.7714 0.6018
O: 0.8780 0.0562 0.4979
O: 0.8995 0.6581 0.8761
O: 0.9142 0.7055 0.2481

Principal peaks in the range 2θ = 10–90°, low angle first:
| 2θ (°) | Rel. int. |
| --- | --- |
| 13.5 | 55 |
| 13.9 | 11 |
| 15.1 | 11 |
| 22.0 | 67 |
| 22.8 | 22 |
| 23.0 | 19 |
| 23.8 | 43 |
| 27.3 | 100 |
| 27.4 | 30 |
| 27.9 | 24 |
| 36.8 | 16 |
| 50.1 | 12 |